Li2MnFeB2O6: computed PXRD pattern (Cu Ka), based on a structure optimized by DFT (GGA+U).
Peak positions follow from Bragg's law for the DFT cell and can differ from measured ones.

Principal peaks in the range 10 to 90 degrees two-theta, sorted by position:
- 2θ = 20.42°, I = 81.8, (1 1 0)
- 2θ = 20.73°, I = 23.6, (1 0 1)
- 2θ = 22.23°, I = 32.6, (1 0 -1)
- 2θ = 22.54°, I = 61.1, (0 1 -1)
- 2θ = 33.60°, I = 100.0, (0 0 4)
- 2θ = 34.09°, I = 31.8, (1 -1 0)
- 2θ = 34.25°, I = 25.0, (1 2 1)
- 2θ = 34.79°, I = 25.8, (2 1 1)
- 2θ = 40.21°, I = 24.9, (2 0 0)
- 2θ = 40.86°, I = 53.7, (0 2 2)

Structural model:
a = 5.1622 Å, b = 5.2381 Å, c = 11.0094 Å
α = 76.83°, β = 78.87°, γ = 60.80°
Positions (direct):
Li 0.0984 0.4664 0.1668
Li 0.3897 0.0423 0.3423
Li 0.6103 0.9577 0.6577
Li 0.9016 0.5336 0.8332
Mn 0.2250 0.8649 0.8816
Mn 0.7750 0.1351 0.1184
Fe 0.2872 0.6305 0.6180
Fe 0.7128 0.3695 0.3820
B 0.0551 0.7113 0.3734
B 0.4372 0.7936 0.1343
B 0.5628 0.2064 0.8657
B 0.9449 0.2887 0.6266
O 0.0825 0.4475 0.3549
O 0.2023 0.0234 0.6549
O 0.2099 0.7798 0.0881
O 0.2921 0.7190 0.4144
O 0.3052 0.4666 0.8351
O 0.3994 0.0627 0.1527
O 0.6006 0.9373 0.8473
O 0.6948 0.5334 0.1649
O 0.7079 0.2810 0.5856
O 0.7901 0.2202 0.9119
O 0.7977 0.9766 0.3451
O 0.9175 0.5525 0.6451



Li4MnFe3B4O12: computed PXRD pattern (Cu Ka), based on a structure optimized by DFT (GGA+U).
Peak positions follow from Bragg's law for the DFT cell and can differ from measured ones.

Principal peaks in the range 10 to 90 degrees two-theta, sorted by position:
- 2θ = 19.64°, I = 66.9, (1 -1 0)
- 2θ = 21.45°, I = 39.5, (-1 1 1)
- 2θ = 21.59°, I = 65.7, (1 0 1)
- 2θ = 25.78°, I = 23.6, (0 1 -2)
- 2θ = 26.41°, I = 30.5, (1 0 2)
- 2θ = 34.31°, I = 54.9, (1 -2 0)
- 2θ = 34.39°, I = 32.7, (2 -1 0)
- 2θ = 34.52°, I = 100.0, (0 0 4)
- 2θ = 40.59°, I = 45.7, (0 2 -1)
- 2θ = 48.59°, I = 36.9, (0 1 5)

Structural model:
a = 5.2159 Å, b = 5.2247 Å, c = 10.3960 Å
α = 90.86°, β = 90.66°, γ = 119.84°
Positions (direct):
Li 0.0000 0.0000 0.0000
Li 0.0123 0.9876 0.5017
Li 0.6689 0.6784 0.7488
Li 0.6933 0.6588 0.2497
Mn 0.3408 0.6658 0.0324
Fe 0.0275 0.3326 0.2847
Fe 0.3480 0.0177 0.7822
Fe 0.6739 0.3343 0.5313
B 0.0086 0.3352 0.7877
B 0.3408 0.6652 0.5407
B 0.3483 0.9981 0.2922
B 0.6808 0.3326 0.0410
O 0.0725 0.9746 0.3063
O 0.0930 0.4021 0.5006
O 0.2762 0.5904 0.8171
O 0.3192 0.9155 0.5702
O 0.3688 0.7536 0.2522
O 0.4167 0.0915 0.9964
O 0.6032 0.2673 0.3211
O 0.6146 0.6824 0.5537
O 0.7067 0.6079 0.0562
O 0.7631 0.3552 0.7479
O 0.9232 0.2973 0.0726
O 0.9850 0.0599 0.8020



Li2MnFeB2O6: computed PXRD pattern (Cu Ka), based on a structure optimized by DFT (GGA+U).
Peak positions follow from Bragg's law for the DFT cell and can differ from measured ones.

Principal peaks in the range 10 to 90 degrees two-theta, sorted by position:
- 2θ = 19.58°, I = 41.9, (1 0 0)
- 2θ = 21.38°, I = 29.8, (1 0 1)
- 2θ = 21.58°, I = 47.1, (1 1 -1)
- 2θ = 25.63°, I = 18.0, (0 1 2)
- 2θ = 26.39°, I = 22.7, (1 1 -2)
- 2θ = 34.22°, I = 40.8, (1 -1 0)
- 2θ = 34.41°, I = 100.0, (0 0 4)
- 2θ = 40.38°, I = 20.9, (0 2 1)
- 2θ = 40.66°, I = 24.7, (2 2 1)
- 2θ = 48.54°, I = 30.9, (0 1 -5)

Structural model:
a = 5.2201 Å, b = 5.2383 Å, c = 10.4263 Å
α = 88.27°, β = 89.41°, γ = 60.23°
Positions (direct):
Li 0.0000 0.0000 0.0000
Li 0.0124 0.3148 0.7497
Li 0.9616 0.3403 0.2514
Li 0.9738 0.0093 0.5019
Mn 0.3224 0.3340 0.0366
Mn 0.6648 0.9842 0.7827
Fe 0.3008 0.6676 0.2866
Fe 0.6596 0.6601 0.5326
B 0.3220 0.3318 0.5404
B 0.3314 0.6581 0.7907
B 0.6469 0.9998 0.2931
B 0.6488 0.6679 0.0436
O 0.0669 0.3130 0.5540
O 0.0866 0.9339 0.8049
O 0.3058 0.5954 0.5007
O 0.3097 0.4077 0.8229
O 0.3720 0.7021 0.0751
O 0.3826 0.2444 0.2529
O 0.5938 0.0830 0.5704
O 0.5993 0.6264 0.7485
O 0.6609 0.7310 0.3218
O 0.6709 0.9100 0.9989
O 0.8978 0.3935 0.0583
O 0.8990 0.0234 0.3072



Li8Mn7FeB8O24: computed PXRD pattern (Cu Ka), based on a structure optimized by DFT (GGA+U).
Peak positions follow from Bragg's law for the DFT cell and can differ from measured ones.

Principal peaks in the range 10 to 90 degrees two-theta, sorted by position:
- 2θ = 19.57°, I = 41.9, (1 -1 0)
- 2θ = 21.36°, I = 24.3, (-1 1 1)
- 2θ = 21.53°, I = 38.6, (0 2 -1)
- 2θ = 25.50°, I = 14.9, (1 1 2)
- 2θ = 25.54°, I = 15.0, (0 2 2)
- 2θ = 26.31°, I = 18.6, (0 2 -2)
- 2θ = 34.15°, I = 100.0, (0 0 4)
- 2θ = 34.27°, I = 19.8, (1 -3 0)
- 2θ = 40.34°, I = 30.6, (2 2 1)
- 2θ = 40.74°, I = 15.1, (-2 2 1)

Structural model:
a = 5.2432 Å, b = 9.0904 Å, c = 10.5115 Å
α = 88.30°, β = 88.93°, γ = 89.68°
Positions (direct):
Li 0.0000 0.0000 0.0000
Li 0.0151 0.9940 0.5008
Li 0.3258 0.3421 0.2503
Li 0.3674 0.3290 0.7513
Li 0.4979 0.5013 0.0024
Li 0.5147 0.4932 0.5011
Li 0.8229 0.8432 0.2524
Li 0.8663 0.8292 0.7521
Mn 0.0092 0.6675 0.4670
Mn 0.0104 0.3340 0.9665
Mn 0.3572 0.6672 0.7172
Mn 0.5088 0.1644 0.4654
Mn 0.5086 0.8349 0.9692
Mn 0.8368 0.5072 0.2171
Mn 0.8562 0.1669 0.7163
Fe 0.3319 0.0098 0.2157
B 0.0068 0.3353 0.4583
B 0.0148 0.6673 0.9599
B 0.3339 0.6714 0.2107
B 0.3519 0.9973 0.7094
B 0.5049 0.8359 0.4583
B 0.5152 0.1679 0.9598
B 0.8375 0.1673 0.2084
B 0.8522 0.4973 0.7088
O 0.0017 0.3790 0.7515
O 0.0812 0.6854 0.2530
O 0.0919 0.9818 0.6937
O 0.2685 0.3471 0.4426
O 0.2744 0.6505 0.9284
O 0.3492 0.9567 0.4261
O 0.3713 0.0476 0.0033
O 0.3964 0.7038 0.5028
O 0.4042 0.3055 0.9444
O 0.4422 0.5335 0.1946
O 0.4661 0.1330 0.6781
O 0.4781 0.7975 0.1806
O 0.5013 0.8793 0.7527
O 0.5837 0.1787 0.2490
O 0.5923 0.4820 0.6934
O 0.7666 0.8491 0.4441
O 0.7748 0.1499 0.9284
O 0.8518 0.4572 0.4276
O 0.8723 0.5462 0.0037
O 0.8960 0.2036 0.5020
O 0.9018 0.8042 0.9446
O 0.9510 0.0302 0.1941
O 0.9666 0.6332 0.6784
O 0.9801 0.2938 0.1791



Li4Mn3FeB4O12: computed PXRD pattern (Cu Ka), based on a structure optimized by DFT (GGA+U).
Peak positions follow from Bragg's law for the DFT cell and can differ from measured ones.

Principal peaks in the range 10 to 90 degrees two-theta, sorted by position:
- 2θ = 19.58°, I = 42.4, (1 -1 0)
- 2θ = 21.38°, I = 24.7, (-1 1 1)
- 2θ = 21.53°, I = 39.6, (1 0 1)
- 2θ = 25.54°, I = 15.1, (0 1 -2)
- 2θ = 26.31°, I = 19.0, (1 0 2)
- 2θ = 34.19°, I = 100.0, (0 0 4)
- 2θ = 34.32°, I = 20.5, (2 -1 0)
- 2θ = 40.32°, I = 15.6, (0 2 -1)
- 2θ = 40.79°, I = 16.4, (-2 2 1)
- 2θ = 48.28°, I = 17.3, (0 1 5)

Structural model:
a = 5.2257 Å, b = 5.2424 Å, c = 10.4955 Å
α = 91.06°, β = 90.78°, γ = 119.75°
Positions (direct):
Li 0.0000 0.0000 0.0000
Li 0.0164 0.9941 0.4997
Li 0.6722 0.6883 0.7484
Li 0.6981 0.6602 0.2492
Mn 0.3434 0.6653 0.0348
Mn 0.3480 0.0159 0.7836
Mn 0.6842 0.3370 0.5313
Fe 0.0340 0.3351 0.2842
B 0.0083 0.3416 0.7914
B 0.3505 0.6758 0.5399
B 0.3523 0.9994 0.2902
B 0.6840 0.3325 0.0429
O 0.0773 0.9762 0.3053
O 0.1094 0.4122 0.4961
O 0.2801 0.5919 0.8225
O 0.3152 0.9178 0.5715
O 0.3720 0.7549 0.2499
O 0.4206 0.0909 0.9984
O 0.6069 0.2672 0.3188
O 0.6253 0.7012 0.5554
O 0.7087 0.6068 0.0575
O 0.7722 0.3732 0.7482
O 0.9269 0.2987 0.0743
O 0.9775 0.0662 0.8069



Li2MnFeB2O6: computed PXRD pattern (Cu Ka), based on a structure optimized by DFT (GGA+U).
Peak positions follow from Bragg's law for the DFT cell and can differ from measured ones.

Principal peaks in the range 10 to 90 degrees two-theta, sorted by position:
- 2θ = 21.55°, I = 100.0, (1 1 0)
- 2θ = 30.95°, I = 16.2, (1 0 2)
- 2θ = 33.19°, I = 17.2, (2 1 0)
- 2θ = 35.80°, I = 80.4, (1 1 2)
- 2θ = 37.79°, I = 31.8, (3 0 0)
- 2θ = 43.92°, I = 14.5, (2 2 0)
- 2θ = 47.84°, I = 27.7, (3 0 2)
- 2θ = 53.04°, I = 24.1, (2 2 2)
- 2θ = 54.70°, I = 19.2, (1 3 2)
- 2θ = 66.96°, I = 11.9, (4 1 2)

Structural model:
a = 8.2456 Å, b = 8.2456 Å, c = 6.3196 Å
α = 90.00°, β = 90.00°, γ = 120.00°
Positions (direct):
Li 0.0159 0.2991 0.2490
Li 0.0159 0.2991 0.7510
Li 0.2832 0.9841 0.2490
Li 0.2832 0.9841 0.7510
Li 0.7009 0.7168 0.2490
Li 0.7009 0.7168 0.7510
Mn 0.3726 0.3610 0.5000
Mn 0.6390 0.0116 0.5000
Mn 0.9884 0.6274 0.5000
Fe 0.3695 0.3623 0.0000
Fe 0.6377 0.0072 0.0000
Fe 0.9928 0.6305 0.0000
B 0.0000 0.0000 0.0000
B 0.0000 0.0000 0.5000
B 0.3333 0.6667 0.2451
B 0.3333 0.6667 0.7549
B 0.6667 0.3333 0.2467
B 0.6667 0.3333 0.7533
O 0.0782 0.1940 0.5000
O 0.0869 0.1945 0.0000
O 0.1076 0.9131 0.0000
O 0.1158 0.9218 0.5000
O 0.1391 0.5784 0.2464
O 0.1391 0.5784 0.7536
O 0.4216 0.5608 0.2464
O 0.4216 0.5608 0.7536
O 0.4392 0.8609 0.2464
O 0.4392 0.8609 0.7536
O 0.4725 0.2528 0.2476
O 0.4725 0.2528 0.7524
O 0.7472 0.2198 0.2476
O 0.7472 0.2198 0.7524
O 0.7802 0.5275 0.2476
O 0.7802 0.5275 0.7524
O 0.8055 0.8924 0.0000
O 0.8060 0.8842 0.5000